No. 1
For Tb4PtAu3, a crystal structure in OQMD, relaxed with GGA-PBE gives the theoretical X-ray diffraction stick pattern in this record (CuKα).
Intensities are scaled so that the largest is 1000.

Most intense lines, 10° ≤ 2θ ≤ 90°, sorted by position:
h k l	Position (°2θ)	I (rel.)
1 1 1	31.66	1000
0 0 4	33.13	312
0 1 4	38.52	258
0 2 0	38.75	366
1 1 3	39.66	834
2 0 0	48.29	196

Cell and atoms:
```
Tb4PtAu3
1.0
3.7691 0.0000 0.0000
0.0000 4.6474 0.0000
0.0000 0.0000 10.8172
Tb Pt Au
4 1 3
direct
0.0000 0.0000 0.0000 Tb
0.0000 0.5000 0.2665 Tb
0.5000 0.0000 0.4830 Tb
0.5000 0.5000 0.7695 Tb
0.5000 0.0000 0.2178 Pt
0.0000 0.0000 0.7188 Au
0.0000 0.5000 0.5418 Au
0.5000 0.5000 0.0427 Au
```

=====

No. 2
For Li4AgGePd2, a crystal structure in OQMD, relaxed with GGA-PBE gives the theoretical X-ray diffraction stick pattern in this record (CuKα).
Intensities are scaled so that the largest is 1000.

Most intense lines, 10° ≤ 2θ ≤ 90°, sorted by position:
h k l	Position (°2θ)	I (rel.)
1 0 1	24.96	1000
2 0 0	40.77	337
1 1 2	41.61	568
2 1 1	48.40	322
1 0 3	49.86	114
3 1 2	74.79	191

Cell and atoms:
```
Li4AgGePd2
1.0
4.4264 0.0000 0.0000
0.0000 4.4264 0.0000
0.0000 0.0000 6.0252
Li Ag Ge Pd
4 1 1 2
direct
0.0000 0.0000 0.0000 Li
0.0000 0.5000 0.2473 Li
0.5000 0.0000 0.7527 Li
0.5000 0.5000 0.5000 Li
0.5000 0.5000 0.0000 Ag
0.0000 0.0000 0.5000 Ge
0.0000 0.5000 0.7126 Pd
0.5000 0.0000 0.2874 Pd
```

=====

No. 3
For CdPbSO, a crystal structure in OQMD, relaxed with GGA-PBE gives the theoretical X-ray diffraction stick pattern in this record (CuKα).
Intensities are scaled so that the largest is 1000.

Most intense lines, 10° ≤ 2θ ≤ 90°, sorted by position:
h k l	Position (°2θ)	I (rel.)
1 1 2	22.15	584
2 1 0	29.94	752
1 1 4	30.53	1000
1 2 2	31.70	606
2 1 6	47.75	318
2 3 2	49.90	447

Cell and atoms:
```
CdPbSO
1.0
6.6257 0.0000 0.0000
0.0000 6.8766 0.0000
0.0000 0.0000 14.8423
Cd Pb S O
8 8 8 8
direct
0.1265 0.0833 0.2183 Cd
0.1265 0.4167 0.7183 Cd
0.3735 0.5833 0.2183 Cd
0.3735 0.9167 0.7183 Cd
0.6265 0.0833 0.2817 Cd
0.6265 0.4167 0.7817 Cd
0.8735 0.5833 0.2817 Cd
0.8735 0.9167 0.7817 Cd
0.1133 0.2422 0.9233 Pb
0.1133 0.2578 0.4233 Pb
0.3867 0.7422 0.9233 Pb
0.3867 0.7578 0.4233 Pb
0.6133 0.2422 0.5767 Pb
0.6133 0.2578 0.0767 Pb
0.8867 0.7422 0.5767 Pb
0.8867 0.7578 0.0767 Pb
0.2471 0.0025 0.5578 S
0.2471 0.4975 0.0578 S
0.2529 0.5025 0.5578 S
0.2529 0.9975 0.0578 S
0.7471 0.0025 0.9422 S
0.7471 0.4975 0.4422 S
0.7529 0.5025 0.9422 S
0.7529 0.9975 0.4422 S
0.1446 0.7218 0.7837 O
0.1446 0.7782 0.2837 O
0.3554 0.2218 0.7837 O
0.3554 0.2782 0.2837 O
0.6446 0.7218 0.7163 O
0.6446 0.7782 0.2163 O
0.8554 0.2218 0.7163 O
0.8554 0.2782 0.2163 O
```

=====

No. 4
For Ge2Pd3, a crystal structure in OQMD, relaxed with GGA-PBE gives the theoretical X-ray diffraction stick pattern in this record (CuKα).
Intensities are scaled so that the largest is 1000.

Most intense lines, 10° ≤ 2θ ≤ 90°, sorted by position:
h k l	Position (°2θ)	I (rel.)
1 0 1	29.39	496
0 1 2	41.49	999
1 1 0	42.59	1000
2 0 2	60.97	313
1 2 2	77.20	310
3 0 0	77.95	163

Cell and atoms:
```
Ge2Pd3
1.0
4.2458 0.0000 0.0000
-2.1229 3.6770 0.0000
0.0000 0.0000 5.4005
Ge Pd
2 3
direct
0.3333 0.6667 0.2041 Ge
0.6667 0.3333 0.7959 Ge
0.0000 0.0000 0.0000 Pd
0.3333 0.6667 0.6763 Pd
0.6667 0.3333 0.3237 Pd
```